No. 1
Simulated powder diffraction line list
Compound: PrBeAl
Radiation: Cu Kα X-rays
Structure: a GGA-PBE-relaxed structure
Kinematic intensities with the Lorentz-polarization factor, no thermal factor.

Largest 10 diffraction maxima, by angle, 2θ = 10–80°:
2θ (°)	I_rel	hkl
24.12	94.6	1 1 1
27.92	100.0	2 0 0
39.89	88.4	2 2 0
47.16	47.8	3 1 1
49.39	27.7	2 2 2
57.69	14.9	4 0 0
63.44	19.6	3 3 1
65.28	35.7	4 2 0
72.44	30.2	4 2 2
77.62	14.6	5 1 1

Atomic structure:
```
data_PrBeAl
_chemical_formula_sum 'Pr4 Be4 Al4'
_cell_length_a 6.392
_cell_length_b 6.392
_cell_length_c 6.392
_cell_angle_alpha 90.00
_cell_angle_beta 90.00
_cell_angle_gamma 90.00
_symmetry_space_group_name_H-M 'F -4 3 m'
_symmetry_Int_Tables_number 216
_symmetry_space_group_name_Hall 'F -4 2 3'
loop_
_atom_site_label
_atom_site_type_symbol
_atom_site_fract_x
_atom_site_fract_y
_atom_site_fract_z
Pr1 Pr 0.000 0.000 0.000
Be1 Be 0.250 0.250 0.250
Al1 Al 0.000 0.000 0.500
```



No. 2
Simulated powder diffraction line list
Compound: Pu2C3
Radiation: Cu Kα X-rays
Structure: a GGA-PBE-relaxed structure
Kinematic intensities with the Lorentz-polarization factor, no thermal factor.

Largest 10 diffraction maxima, by angle, 2θ = 10–80°:
2θ (°)	I_rel	hkl
26.80	47.4	2 1 1
31.04	100.0	2 2 0
34.82	86.4	3 1 0
41.46	43.1	3 2 1
52.69	27.3	3 3 2
55.22	14.6	4 2 2
57.68	60.3	4 3 1
62.42	29.5	5 2 1
71.35	11.2	6 1 1
75.63	18.4	5 4 1

Atomic structure:
```
data_Pu2C3
_chemical_formula_sum 'Pu16 C24'
_cell_length_a 8.149
_cell_length_b 8.149
_cell_length_c 8.149
_cell_angle_alpha 90.00
_cell_angle_beta 90.00
_cell_angle_gamma 90.00
_symmetry_space_group_name_H-M 'I -4 3 d'
_symmetry_Int_Tables_number 220
_symmetry_space_group_name_Hall 'I -4bd 2c 3'
loop_
_atom_site_label
_atom_site_type_symbol
_atom_site_fract_x
_atom_site_fract_y
_atom_site_fract_z
Pu1 Pu 0.049 0.049 0.049
C1 C 0.000 0.250 0.290
```



No. 3
Simulated powder diffraction line list
Compound: ScCoAg4
Radiation: Cu Kα X-rays
Structure: a GGA-PBE-relaxed structure
Kinematic intensities with the Lorentz-polarization factor, no thermal factor.

Largest 10 diffraction maxima, by angle, 2θ = 10–80°:
2θ (°)	I_rel	hkl
20.14	45.2	1 1 1
33.18	10.1	2 2 0
39.12	100.0	3 1 1
40.94	65.6	2 2 2
47.63	18.2	4 0 0
52.21	10.5	3 3 1
59.28	3.3	4 2 2
63.28	29.7	5 1 1
69.65	28.4	4 4 0
73.34	7.5	5 3 1

Atomic structure:
```
data_ScCoAg4
_chemical_formula_sum 'Sc4 Co4 Ag16'
_cell_length_a 7.637
_cell_length_b 7.637
_cell_length_c 7.637
_cell_angle_alpha 90.00
_cell_angle_beta 90.00
_cell_angle_gamma 90.00
_symmetry_space_group_name_H-M 'F -4 3 m'
_symmetry_Int_Tables_number 216
_symmetry_space_group_name_Hall 'F -4 2 3'
loop_
_atom_site_label
_atom_site_type_symbol
_atom_site_fract_x
_atom_site_fract_y
_atom_site_fract_z
Sc1 Sc 0.000 0.000 0.000
Co1 Co 0.250 0.250 0.250
Ag1 Ag 0.125 0.125 0.625
```